1.
Starting from a crystal structure in Alexandria, relaxed with GGA-PBE, the PXRD pattern of LuAl8Fe4 was calculated for λ = 1.5418 Å (Cu Kα).

Atomic structure:
```
data_LuAl8Fe4
_chemical_formula_sum 'Lu2 Al16 Fe8'
_symmetry_space_group_name_H-M 'I 4/m m m'
_symmetry_Int_Tables_number 139
_symmetry_space_group_name_Hall '-I 4 2'
_cell_length_a 8.6516
_cell_length_b 8.6516
_cell_length_c 5.0106
_cell_angle_alpha 90.00
_cell_angle_beta 90.00
_cell_angle_gamma 90.00
loop_
_atom_site_label
_atom_site_fract_x
_atom_site_fract_y
_atom_site_fract_z
_atom_site_occupancy
Lu1 0.0000 0.0000 0.0000 1
Al1 0.0000 0.2194 0.5000 1
Al2 0.0000 0.3392 0.0000 1
Fe1 0.2500 0.2500 0.2500 1
```

The 10 most intense peaks (2θ = 15–90°), sorted by position:
- hkl 1 0 1, 20.5 deg, I = 31
- hkl 2 2 0, 29.2 deg, I = 63
- hkl 3 1 0, 32.7 deg, I = 18
- hkl 3 0 1, 35.9 deg, I = 31
- hkl 2 0 2, 41.7 deg, I = 100
- hkl 4 0 0, 41.8 deg, I = 38
- hkl 2 2 2, 46.9 deg, I = 13
- hkl 4 2 2, 60.4 deg, I = 25
- hkl 6 2 0, 68.6 deg, I = 14
- hkl 6 0 2, 76.2 deg, I = 24

***

2.
Starting from a crystal structure in Alexandria, relaxed with GGA-PBE, the PXRD pattern of LuAl7Fe5 was calculated for λ = 1.5418 Å (Cu Kα).

Atomic structure:
```
data_LuAl7Fe5
_chemical_formula_sum 'Lu2 Al14 Fe10'
_symmetry_space_group_name_H-M 'I m m 2'
_symmetry_Int_Tables_number 44
_symmetry_space_group_name_Hall 'I 2 -2'
_cell_length_a 5.0048
_cell_length_b 8.6025
_cell_length_c 8.5813
_cell_angle_alpha 90.00
_cell_angle_beta 90.00
_cell_angle_gamma 90.00
loop_
_atom_site_label
_atom_site_fract_x
_atom_site_fract_y
_atom_site_fract_z
_atom_site_occupancy
Lu1 0.0000 0.0000 0.0000 1
Al1 0.0000 0.0000 0.3333 1
Al2 0.0000 0.0000 0.6552 1
Al3 0.0000 0.2922 0.4991 1
Al4 0.0000 0.3413 0.9856 1
Al5 0.0000 0.5000 0.2685 1
Fe1 0.0000 0.5000 0.7283 1
Fe2 0.2472 0.2506 0.2429 1
```

The 10 most intense peaks (2θ = 15–90°), sorted by position:
- hkl 1 0 1, 20.5 deg, I = 33
- hkl 1 1 2, 29.3 deg, I = 63
- hkl 0 2 2, 29.4 deg, I = 28
- hkl 0 1 3, 33.0 deg, I = 24
- hkl 1 0 3, 36.1 deg, I = 35
- hkl 2 2 0, 41.8 deg, I = 77
- hkl 0 4 0, 42.0 deg, I = 100
- hkl 0 0 4, 42.1 deg, I = 29
- hkl 2 2 4, 60.8 deg, I = 28
- hkl 3 3 2, 68.7 deg, I = 16